Structure and computed XRD peak list of Pr8Co3RhCl4 (a cell relaxed with GGA-PBE; Cu Ka).

Crystal structure
Unit cell a=8.9210 b=8.9210 c=8.9210 alpha=53.63 beta=53.63 gamma=53.63
Atoms (fractional coordinates):
Pr (0.2265, 0.7384, 0.7384)
Pr (0.2334, 0.2334, 0.2334)
Pr (0.2616, 0.2616, 0.7735)
Pr (0.2616, 0.7735, 0.2616)
Pr (0.7384, 0.2265, 0.7384)
Pr (0.7384, 0.7384, 0.2265)
Pr (0.7666, 0.7666, 0.7666)
Pr (0.7735, 0.2616, 0.2616)
Co (0.0000, 0.0000, 0.5000)
Co (0.0000, 0.5000, 0.0000)
Co (0.5000, 0.0000, 0.0000)
Rh (0.5000, 0.5000, 0.5000)
Cl (0.0000, 0.0000, 0.0000)
Cl (0.0000, 0.5000, 0.5000)
Cl (0.5000, 0.0000, 0.5000)
Cl (0.5000, 0.5000, 0.0000)

Principal peaks in the range 10 to 90 degrees two-theta, by angle:
2θ (°)	intensity
11.62	313
26.74	270
30.04	1000
37.76	189
40.85	293
45.06	358
51.20	138
55.10	173
73.83	140
78.81	93

Structure and computed XRD peak list of Rb2CoPtCl6 (a cell relaxed with GGA-PBE; Cu Ka).

Crystal structure
Unit cell a=6.8432 b=6.8432 c=6.8432 alpha=116.20 beta=116.20 gamma=96.72
Atoms (fractional coordinates):
Rb (0.2500, 0.7500, 0.5000)
Rb (0.7500, 0.2500, 0.5000)
Co (0.0000, 0.0000, 0.0000)
Pt (0.5000, 0.5000, 0.0000)
Cl (0.2420, 0.2420, 0.0000)
Cl (0.2481, 0.2481, 0.4961)
Cl (0.2481, 0.7519, 0.0000)
Cl (0.7519, 0.2481, 0.0000)
Cl (0.7519, 0.7519, 0.5039)
Cl (0.7580, 0.7580, 0.0000)

Principal peaks in the range 10 to 90 degrees two-theta, by angle:
2θ (°)	intensity
15.66	384
17.34	265
24.62	582
26.23	1000
35.09	768
39.64	268
44.33	499
50.47	257
53.97	416
66.02	222

Structure and computed XRD peak list of RbCoPtCl6 (a cell relaxed with GGA-PBE; Cu Ka).

Crystal structure
Unit cell a=6.3541 b=6.3575 c=7.3693 alpha=91.40 beta=91.73 gamma=116.76
Atoms (fractional coordinates):
Rb (0.0000, 0.0000, 0.0000)
Co (0.3297, 0.6778, 0.4992)
Pt (0.6721, 0.3303, 0.5003)
Cl (0.0329, 0.6285, 0.2977)
Cl (0.3702, 0.9685, 0.7031)
Cl (0.3842, 0.3651, 0.3165)
Cl (0.6349, 0.6164, 0.6828)
Cl (0.6458, 0.0035, 0.3253)
Cl (0.9985, 0.3574, 0.6774)

Principal peaks in the range 10 to 90 degrees two-theta, by angle:
2θ (°)	intensity
12.03	1000
15.63	260
19.34	652
20.19	569
20.37	605
30.97	248
35.42	320
37.84	262
37.97	261
48.15	241

Structure and computed XRD peak list of Rb2Co2Cl7 (a cell relaxed with GGA-PBE; Cu Ka).

Crystal structure
Unit cell a=6.4252 b=15.9258 c=8.1153 alpha=90.00 beta=95.59 gamma=90.00
Atoms (fractional coordinates):
Rb (0.1056, 0.1497, 0.4103)
Rb (0.1056, 0.3503, 0.9103)
Rb (0.8944, 0.6497, 0.0897)
Rb (0.8944, 0.8503, 0.5897)
Co (0.3635, 0.6063, 0.6414)
Co (0.3635, 0.8937, 0.1414)
Co (0.6365, 0.1063, 0.8586)
Co (0.6365, 0.3937, 0.3586)
Cl (0.1292, 0.6718, 0.4726)
Cl (0.1292, 0.8282, 0.9726)
Cl (0.2259, 0.5509, 0.8556)
Cl (0.2259, 0.9491, 0.3556)
Cl (0.3833, 0.1924, 0.7684)
Cl (0.3833, 0.3076, 0.2684)
Cl (0.5000, 0.0000, 0.0000)
Cl (0.5000, 0.5000, 0.5000)
Cl (0.6167, 0.6924, 0.7316)
Cl (0.6167, 0.8076, 0.2316)
Cl (0.7741, 0.0509, 0.6444)
Cl (0.7741, 0.4491, 0.1444)
Cl (0.8708, 0.1718, 0.0274)
Cl (0.8708, 0.3282, 0.5274)

Principal peaks in the range 10 to 90 degrees two-theta, by angle:
2θ (°)	intensity
19.34	679
20.21	1000
21.76	137
22.33	164
22.72	209
27.24	129
28.09	157
35.91	122
37.54	129
46.53	128

Copy entry 2 word for word.
Structure and computed XRD peak list of Rb2CoPtCl6 (a cell relaxed with GGA-PBE; Cu Ka).

Crystal structure
Unit cell a=6.8432 b=6.8432 c=6.8432 alpha=116.20 beta=116.20 gamma=96.72
Atoms (fractional coordinates):
Rb (0.2500, 0.7500, 0.5000)
Rb (0.7500, 0.2500, 0.5000)
Co (0.0000, 0.0000, 0.0000)
Pt (0.5000, 0.5000, 0.0000)
Cl (0.2420, 0.2420, 0.0000)
Cl (0.2481, 0.2481, 0.4961)
Cl (0.2481, 0.7519, 0.0000)
Cl (0.7519, 0.2481, 0.0000)
Cl (0.7519, 0.7519, 0.5039)
Cl (0.7580, 0.7580, 0.0000)

Principal peaks in the range 10 to 90 degrees two-theta, by angle:
2θ (°)	intensity
15.66	384
17.34	265
24.62	582
26.23	1000
35.09	768
39.64	268
44.33	499
50.47	257
53.97	416
66.02	222

Repeat the third record exactly.
Structure and computed XRD peak list of RbCoPtCl6 (a cell relaxed with GGA-PBE; Cu Ka).

Crystal structure
Unit cell a=6.3541 b=6.3575 c=7.3693 alpha=91.40 beta=91.73 gamma=116.76
Atoms (fractional coordinates):
Rb (0.0000, 0.0000, 0.0000)
Co (0.3297, 0.6778, 0.4992)
Pt (0.6721, 0.3303, 0.5003)
Cl (0.0329, 0.6285, 0.2977)
Cl (0.3702, 0.9685, 0.7031)
Cl (0.3842, 0.3651, 0.3165)
Cl (0.6349, 0.6164, 0.6828)
Cl (0.6458, 0.0035, 0.3253)
Cl (0.9985, 0.3574, 0.6774)

Principal peaks in the range 10 to 90 degrees two-theta, by angle:
2θ (°)	intensity
12.03	1000
15.63	260
19.34	652
20.19	569
20.37	605
30.97	248
35.42	320
37.84	262
37.97	261
48.15	241

- What is the formula in the fourth record?
  Rb2Co2Cl7